Computed XRD peak list
Compound: Nd3Ge2Pt7
Radiation: Cu Kα X-rays
Structure: a structure optimized by DFT (GGA-PBE)
Kinematic intensities with the Lorentz-polarization factor, no thermal factor.

Top 10 peaks for 2θ = 15–90°, in order of falling intensity:
2theta  I_rel
34.13  100
37.38  50
42.91  28
45.96  27
44.19  26
68.69  19
63.29  18
24.28  14
31.80  13
30.49  13

Crystal structure
abc: 14.8139 14.8139 4.0987
angles: 90.00 90.00 163.64
Atoms (fractional coordinates):
Nd  0.0000  0.0000  0.0000
Nd  0.2021  0.7979  0.0000
Nd  0.7979  0.2021  0.0000
Ge  0.4173  0.5827  0.5000
Ge  0.5827  0.4173  0.5000
Pt  0.1285  0.8715  0.5000
Pt  0.2890  0.7110  0.5000
Pt  0.3699  0.6301  0.0000
Pt  0.5000  0.5000  0.5000
Pt  0.6301  0.3699  0.0000
Pt  0.7110  0.2890  0.5000
Pt  0.8715  0.1285  0.5000